# TmTlCrCl6
Theoretical powder X-ray diffraction pattern, Cu Kα. Input: DFT lattice parameters and positions (PBE).
Peak positions follow from Bragg's law for the DFT cell and can differ from measured ones.

Structure:
```
data_TmTlCrCl6
_symmetry_space_group_name_H-M 'C 1 2 1'
_symmetry_Int_Tables_number 5
_symmetry_space_group_name_Hall 'C 2y'
_cell_length_a 6.926
_cell_length_b 11.268
_cell_length_c 7.191
_cell_angle_alpha 90.00
_cell_angle_beta 93.02
_cell_angle_gamma 90.00
loop_
_atom_site_label
_atom_site_type_symbol
_atom_site_fract_x
_atom_site_fract_y
_atom_site_fract_z
Tm1 Tm 0.000 0.000 0.000
Tl1 Tl 0.000 0.674 0.500
Cr1 Cr 0.000 0.340 0.000
Cl1 Cl 0.124 0.186 0.202
Cl2 Cl 0.177 0.862 0.233
Cl3 Cl 0.178 0.488 0.182
```

Principal peaks in the range 2θ = 15–90°, sorted by position:
19.05 deg, rel. 100.0, (1 1 -1)
19.91 deg, rel. 89.0, (1 1 1)
20.03 deg, rel. 98.1, (0 2 1)
27.01 deg, rel. 38.5, (1 3 0)
35.07 deg, rel. 35.2, (2 0 -2)
37.47 deg, rel. 59.6, (1 3 2)
41.31 deg, rel. 35.9, (3 1 -1)
46.21 deg, rel. 35.7, (3 3 0)

# GeSb4Te4
Theoretical powder X-ray diffraction pattern, Cu Kα. Input: DFT lattice parameters and positions (PBE).
Peak positions follow from Bragg's law for the DFT cell and can differ from measured ones.

Structure:
```
data_GeSb4Te4
_symmetry_space_group_name_H-M 'P -3 m 1'
_symmetry_Int_Tables_number 164
_symmetry_space_group_name_Hall '-P 3 2"'
_cell_length_a 4.3302
_cell_length_b 4.3302
_cell_length_c 17.5824
_cell_angle_alpha 90.00
_cell_angle_beta 90.00
_cell_angle_gamma 120.00
loop_
_atom_site_label
_atom_site_type_symbol
_atom_site_fract_x
_atom_site_fract_y
_atom_site_fract_z
Ge1 Ge 0.0000 0.0000 0.0000
Sb1 Sb 0.3333 0.6667 0.2099
Sb2 Sb 0.3333 0.6667 0.5445
Te1 Te 0.0000 0.0000 0.3073
Te2 Te 0.3333 0.6667 0.9040
```

Principal peaks in the range 2θ = 15–90°, sorted by position:
28.25 deg, rel. 100.0, (1 0 3)
39.01 deg, rel. 31.9, (0 1 6)
41.72 deg, rel. 38.2, (1 1 0)
51.15 deg, rel. 19.0, (0 2 3)
58.43 deg, rel. 9.6, (2 0 6)
64.22 deg, rel. 7.8, (1 1 9)
68.05 deg, rel. 15.9, (2 1 3)
74.34 deg, rel. 9.3, (1 2 6)